For Ti8P2S, a GGA-PBE-relaxed structure gives the computed powder XRD pattern in this record (a wavelength of 1.5418 Å).
Neutral-atom scattering factors, no anomalous dispersion.

Peak list (10 most intense, 2θ = 10–80°, in order of rising 2θ)
- 36.6°, I = 12, (6 0 0)
- 37.4°, I = 100, (1 1 -2)
- 37.9°, I = 23, (6 0 -1)
- 38.0°, I = 21, (4 0 2)
- 38.3°, I = 18, (1 1 2)
- 40.1°, I = 35, (5 1 0)
- 43.4°, I = 33, (5 1 1)
- 52.6°, I = 25, (0 2 0)
- 66.7°, I = 14, (6 2 -1)
- 79.6°, I = 13, (11 1 -2)

Cell and atoms:
```
data_Ti8P2S
_chemical_formula_sum 'Ti16 P4 S2'
_symmetry_space_group_name_H-M 'C 1 2/m 1'
_symmetry_Int_Tables_number 12
_cell_length_a 14.7816
_cell_length_b 3.4810
_cell_length_c 6.6984
_cell_angle_alpha 90.00
_cell_angle_beta 95.20
_cell_angle_gamma 90.00
loop_
_symmetry_equiv_pos_as_xyz
'x,y,z'
'-x,-y,-z'
'-x,y,-z'
'x,-y,z'
'x+1/2,y+1/2,z'
'-x+1/2,-y+1/2,-z'
'-x+1/2,y+1/2,-z'
'x+1/2,-y+1/2,z'
loop_
_atom_site_label
_atom_site_type_symbol
_atom_site_fract_x
_atom_site_fract_y
_atom_site_fract_z
_atom_site_occupancy
Ti1 Ti 0.0019 0.0000 0.2381 1
Ti2 Ti 0.0944 0.5000 0.5209 1
Ti3 Ti 0.1638 0.5000 0.0139 1
Ti4 Ti 0.2084 0.0000 0.3513 1
P1 P 0.1810 0.0000 0.7415 1
S1 S 0.0000 0.5000 0.0000 1
```